No. 1
# Ca2DyIn9
Theoretical powder diffractogram, Cu Kα (weighted mean of Kα1 and Kα2). Input: a structure optimized by DFT (GGA-PBE).
Peak positions follow from Bragg's law for the DFT cell and can differ from measured ones.

Crystal structure
Cell: 4.6892 4.6892 14.1070 Å, 90.00 90.00 90.00°
Positions (direct):
1 Ca 0.0000 0.0000 0.1680
2 Ca 0.0000 0.0000 0.8320
3 Dy 0.0000 0.0000 0.5000
4 In 0.0000 0.5000 0.0000
5 In 0.0000 0.5000 0.3350
6 In 0.0000 0.5000 0.6650
7 In 0.5000 0.0000 0.0000
8 In 0.5000 0.0000 0.3350
9 In 0.5000 0.0000 0.6650
10 In 0.5000 0.5000 0.1669
11 In 0.5000 0.5000 0.5000
12 In 0.5000 0.5000 0.8331

Largest 10 diffraction maxima, sorted by position, 10° ≤ 2θ ≤ 80°:
- 2θ 12.55, I = 2.1
- 2θ 19.95, I = 2.8
- 2θ 22.77, I = 2.0
- 2θ 33.06, I = 100.0
- 2θ 38.28, I = 16.6
- 2θ 38.39, I = 33.1
- 2θ 55.36, I = 33.1
- 2θ 65.92, I = 12.8
- 2θ 66.07, I = 25.5
- 2θ 69.36, I = 11.0



No. 2
# LaY9Er2
Theoretical powder diffractogram, Cu Kα (weighted mean of Kα1 and Kα2). Input: a structure optimized by DFT (GGA-PBE).
Peak positions follow from Bragg's law for the DFT cell and can differ from measured ones.

Crystal structure
Cell: 5.0584 5.0584 15.2018 Å, 90.00 90.00 90.00°
Positions (direct):
1 La 0.0000 0.0000 0.0000
2 Y 0.0000 0.5000 0.1709
3 Y 0.0000 0.5000 0.5000
4 Y 0.0000 0.5000 0.8291
5 Y 0.5000 0.0000 0.1709
6 Y 0.5000 0.0000 0.5000
7 Y 0.5000 0.0000 0.8291
8 Y 0.5000 0.5000 0.0000
9 Y 0.5000 0.5000 0.3361
10 Y 0.5000 0.5000 0.6639
11 Er 0.0000 0.0000 0.3346
12 Er 0.0000 0.0000 0.6654

Largest 10 diffraction maxima, sorted by position, 10° ≤ 2θ ≤ 80°:
- 2θ 17.52, I = 6.2
- 2θ 24.88, I = 5.6
- 2θ 30.59, I = 100.0
- 2θ 35.47, I = 50.1
- 2θ 39.83, I = 3.5
- 2θ 43.81, I = 2.7
- 2θ 51.04, I = 34.9
- 2θ 60.69, I = 40.9
- 2θ 63.69, I = 11.7
- 2θ 75.12, I = 3.6



No. 3
# NaEr2Hg
Theoretical powder diffractogram, Cu Kα (weighted mean of Kα1 and Kα2). Input: a structure optimized by DFT (GGA-PBE).
Peak positions follow from Bragg's law for the DFT cell and can differ from measured ones.

Crystal structure
Cell: 5.1901 5.1901 3.9270 Å, 90.00 90.00 90.00°
Positions (direct):
1 Na 0.0000 0.0000 0.0000
2 Er 0.0000 0.5000 0.5000
3 Er 0.5000 0.0000 0.5000
4 Hg 0.5000 0.5000 0.0000

Largest 10 diffraction maxima, sorted by position, 10° ≤ 2θ ≤ 80°:
- 2θ 17.08, I = 24.6
- 2θ 28.50, I = 15.0
- 2θ 33.42, I = 100.0
- 2θ 34.56, I = 45.7
- 2θ 46.24, I = 10.2
- 2θ 49.68, I = 19.9
- 2θ 58.99, I = 19.8
- 2θ 61.21, I = 35.4
- 2θ 70.20, I = 11.8
- 2θ 77.41, I = 9.3



No. 4
# UGe2Rh2
Theoretical powder diffractogram, Cu Kα (weighted mean of Kα1 and Kα2). Input: a structure optimized by DFT (GGA-PBE).
Peak positions follow from Bragg's law for the DFT cell and can differ from measured ones.

Crystal structure
Cell: 4.1922 4.1923 10.1452 Å, 90.00 90.07 90.00°
Positions (direct):
1 U 0.2493 0.2500 0.2422
2 U 0.7507 0.7500 0.7578
3 Ge 0.2505 0.2500 0.6314
4 Ge 0.2510 0.7500 0.0000
5 Ge 0.7490 0.2500 0.0000
6 Ge 0.7495 0.7500 0.3686
7 Rh 0.2485 0.2500 0.8688
8 Rh 0.2500 0.7500 0.5000
9 Rh 0.7500 0.2500 0.5000
10 Rh 0.7515 0.7500 0.1312

Largest 10 diffraction maxima, sorted by position, 10° ≤ 2θ ≤ 80°:
- 2θ 22.95, I = 13.1
- 2θ 30.15, I = 21.4
- 2θ 34.06, I = 68.9
- 2θ 35.06, I = 100.0
- 2θ 43.16, I = 54.8
- 2θ 49.94, I = 28.7
- 2θ 56.09, I = 33.6
- 2θ 62.68, I = 18.1
- 2θ 68.09, I = 23.0
- 2θ 73.89, I = 23.5



No. 5
# Ta2AgP12
Theoretical powder diffractogram, Cu Kα (weighted mean of Kα1 and Kα2). Input: a structure optimized by DFT (GGA-PBE).
Peak positions follow from Bragg's law for the DFT cell and can differ from measured ones.

Crystal structure
Cell: 5.9898 6.6034 8.1674 Å, 80.86 76.43 64.06°
Positions (direct):
1 Ta 0.1904 0.2425 0.1794
2 Ta 0.8096 0.7575 0.8206
3 Ag 0.5000 0.5000 0.5000
4 P 0.1131 0.4451 0.5988
5 P 0.1306 0.9489 0.7458
6 P 0.1786 0.5725 0.9722
7 P 0.2791 0.0926 0.4978
8 P 0.3816 0.0753 0.8978
9 P 0.4698 0.6344 0.7788
10 P 0.5302 0.3656 0.2212
11 P 0.6184 0.9247 0.1022
12 P 0.7209 0.9074 0.5022
13 P 0.8214 0.4275 0.0278
14 P 0.8694 0.0511 0.2542
15 P 0.8869 0.5549 0.4012

Largest 10 diffraction maxima, sorted by position, 10° ≤ 2θ ≤ 80°:
- 2θ 17.19, I = 45.5
- 2θ 18.13, I = 80.0
- 2θ 19.27, I = 100.0
- 2θ 25.46, I = 37.7
- 2θ 26.24, I = 43.8
- 2θ 26.86, I = 39.3
- 2θ 33.93, I = 38.7
- 2θ 36.69, I = 33.1
- 2θ 39.17, I = 30.7
- 2θ 41.95, I = 48.1



No. 6
# TbIn2Cu9
Theoretical powder diffractogram, Cu Kα (weighted mean of Kα1 and Kα2). Input: a structure optimized by DFT (GGA-PBE).
Peak positions follow from Bragg's law for the DFT cell and can differ from measured ones.

Crystal structure
Cell: 8.6427 8.6427 8.6427 Å, 34.03 34.03 34.03°
Positions (direct):
1 Tb 0.0000 0.0000 0.0000
2 In 0.1405 0.1405 0.1405
3 In 0.8595 0.8595 0.8595
4 Cu 0.0809 0.5851 0.5851
5 Cu 0.3335 0.3335 0.3335
6 Cu 0.4149 0.4149 0.9191
7 Cu 0.4149 0.9191 0.4149
8 Cu 0.5000 0.5000 0.5000
9 Cu 0.5851 0.0809 0.5851
10 Cu 0.5851 0.5851 0.0809
11 Cu 0.6665 0.6665 0.6665
12 Cu 0.9191 0.4149 0.4149

Largest 10 diffraction maxima, sorted by position, 10° ≤ 2θ ≤ 80°:
- 2θ 32.83, I = 33.6
- 2θ 35.50, I = 42.9
- 2θ 35.87, I = 30.8
- 2θ 41.39, I = 36.4
- 2θ 41.91, I = 12.8
- 2θ 42.07, I = 100.0
- 2θ 44.55, I = 16.6
- 2θ 45.39, I = 16.6
- 2θ 68.25, I = 22.2
- 2θ 75.13, I = 21.0



No. 7
# CeInCu
Theoretical powder diffractogram, Cu Kα (weighted mean of Kα1 and Kα2). Input: a structure optimized by DFT (GGA-PBE).
Peak positions follow from Bragg's law for the DFT cell and can differ from measured ones.

Crystal structure
Cell: 13.0559 4.2023 7.4241 Å, 90.00 90.00 90.00°
Positions (direct):
1 Ce 0.0422 0.0000 0.2412
2 Ce 0.2500 0.0000 0.8668
3 Ce 0.4578 0.0000 0.2412
4 Ce 0.5422 0.0000 0.7588
5 Ce 0.7500 0.0000 0.1332
6 Ce 0.9578 0.0000 0.7588
7 In 0.1267 0.5000 0.5741
8 In 0.2500 0.5000 0.2074
9 In 0.3733 0.5000 0.5741
10 In 0.6267 0.5000 0.4259
11 In 0.7500 0.5000 0.7926
12 In 0.8733 0.5000 0.4259
13 Cu 0.0914 0.5000 0.9503
14 Cu 0.2500 0.0000 0.4502
15 Cu 0.4086 0.5000 0.9503
16 Cu 0.5914 0.5000 0.0497
17 Cu 0.7500 0.0000 0.5498
18 Cu 0.9086 0.5000 0.0497

Largest 10 diffraction maxima, sorted by position, 10° ≤ 2θ ≤ 80°:
- 2θ 31.97, I = 100.0
- 2θ 32.17, I = 28.5
- 2θ 32.92, I = 36.9
- 2θ 34.80, I = 47.4
- 2θ 35.06, I = 54.6
- 2θ 36.48, I = 18.3
- 2θ 36.66, I = 22.3
- 2θ 36.96, I = 25.1
- 2θ 43.04, I = 47.7
- 2θ 66.61, I = 15.2



No. 8
# Sr2GaSiAu6
Theoretical powder diffractogram, Cu Kα (weighted mean of Kα1 and Kα2). Input: a structure optimized by DFT (GGA-PBE).
Peak positions follow from Bragg's law for the DFT cell and can differ from measured ones.

Crystal structure
Cell: 6.8040 6.8040 7.0740 Å, 118.85 118.85 59.97°
Positions (direct):
1 Sr 0.2188 0.2188 0.1556
2 Sr 0.7812 0.7812 0.8444
3 Ga 0.5000 0.5000 0.0000
4 Si 0.0000 0.0000 0.5000
5 Au 0.2457 0.6831 0.6765
6 Au 0.2467 0.2467 0.6751
7 Au 0.3169 0.7543 0.3235
8 Au 0.6831 0.2457 0.6765
9 Au 0.7533 0.7533 0.3249
10 Au 0.7543 0.3169 0.3235

Largest 10 diffraction maxima, sorted by position, 10° ≤ 2θ ≤ 80°:
- 2θ 15.08, I = 23.5
- 2θ 18.11, I = 21.2
- 2θ 29.53, I = 28.5
- 2θ 30.40, I = 29.8
- 2θ 32.04, I = 100.0
- 2θ 36.70, I = 70.7
- 2θ 39.88, I = 19.9
- 2θ 40.85, I = 16.0
- 2θ 48.90, I = 20.3
- 2θ 53.91, I = 30.5



No. 9
# Pr4HoSe6
Theoretical powder diffractogram, Cu Kα (weighted mean of Kα1 and Kα2). Input: a structure optimized by DFT (GGA-PBE).
Peak positions follow from Bragg's law for the DFT cell and can differ from measured ones.

Crystal structure
Cell: 8.3754 8.3754 8.3754 Å, 90.98 90.98 90.98°
Positions (direct):
1 Pr 0.1347 0.7500 0.3653
2 Pr 0.2500 0.2500 0.2500
3 Pr 0.2500 0.6347 0.8653
4 Pr 0.3653 0.1347 0.7500
5 Pr 0.6347 0.8653 0.2500
6 Pr 0.7500 0.3653 0.1347
7 Pr 0.7500 0.7500 0.7500
8 Pr 0.8653 0.2500 0.6347
9 Ho 0.0000 0.0000 0.0000
10 Ho 0.5000 0.5000 0.5000
11 Se 0.0607 0.9173 0.6831
12 Se 0.0827 0.3169 0.9393
13 Se 0.1831 0.4173 0.5607
14 Se 0.3169 0.9393 0.0827
15 Se 0.4173 0.5607 0.1831
16 Se 0.4393 0.8169 0.5827
17 Se 0.5607 0.1831 0.4173
18 Se 0.5827 0.4393 0.8169
19 Se 0.6831 0.0607 0.9173
20 Se 0.8169 0.5827 0.4393
21 Se 0.9173 0.6831 0.0607
22 Se 0.9393 0.0827 0.3169

Largest 10 diffraction maxima, sorted by position, 10° ≤ 2θ ≤ 80°:
- 2θ 23.93, I = 31.1
- 2θ 25.84, I = 83.1
- 2θ 30.46, I = 70.8
- 2θ 31.81, I = 95.2
- 2θ 33.67, I = 29.7
- 2θ 34.04, I = 99.9
- 2θ 35.50, I = 100.0
- 2θ 39.93, I = 34.5
- 2θ 45.94, I = 54.6
- 2θ 68.76, I = 39.8



No. 10
# NaGaSi
Theoretical powder diffractogram, Cu Kα (weighted mean of Kα1 and Kα2). Input: a structure optimized by DFT (GGA-PBE).
Peak positions follow from Bragg's law for the DFT cell and can differ from measured ones.

Crystal structure
Cell: 6.0165 3.6483 6.3112 Å, 90.00 92.89 90.00°
Positions (direct):
1 Na 0.0853 0.2500 0.2477
2 Na 0.9147 0.7500 0.7523
3 Ga 0.4236 0.2500 0.6568
4 Ga 0.5764 0.7500 0.3432
5 Si 0.3666 0.7500 0.9796
6 Si 0.6334 0.2500 0.0204

Largest 10 diffraction maxima, sorted by position, 10° ≤ 2θ ≤ 80°:
- 2θ 14.74, I = 100.0
- 2θ 31.68, I = 96.0
- 2θ 32.36, I = 16.5
- 2θ 33.69, I = 32.9
- 2θ 37.72, I = 26.8
- 2θ 40.94, I = 27.0
- 2θ 41.26, I = 44.0
- 2θ 44.98, I = 16.7
- 2θ 50.00, I = 16.1
- 2θ 61.62, I = 19.8



No. 11
# Ce2Y7Er2
Theoretical powder diffractogram, Cu Kα (weighted mean of Kα1 and Kα2). Input: a structure optimized by DFT (GGA-PBE).
Peak positions follow from Bragg's law for the DFT cell and can differ from measured ones.

Crystal structure
Cell: 6.6272 6.8128 8.7639 Å, 74.46 83.52 66.82°
Positions (direct):
1 Ce 0.2045 0.4543 0.0493
2 Ce 0.7955 0.5457 0.9507
3 Y 0.0091 0.1337 0.3132
4 Y 0.0337 0.6444 0.3438
5 Y 0.4514 0.4032 0.7021
6 Y 0.5000 0.0000 0.5000
7 Y 0.5486 0.5968 0.2979
8 Y 0.9663 0.3556 0.6562
9 Y 0.9909 0.8663 0.6868
10 Er 0.2750 0.9609 0.9548
11 Er 0.7250 0.0391 0.0452

Largest 10 diffraction maxima, sorted by position, 10° ≤ 2θ ≤ 80°:
- 2θ 10.48, I = 61.2
- 2θ 29.42, I = 32.8
- 2θ 29.54, I = 38.9
- 2θ 29.91, I = 57.7
- 2θ 31.13, I = 86.5
- 2θ 31.81, I = 100.0
- 2θ 32.06, I = 80.7
- 2θ 32.30, I = 37.9
- 2θ 33.73, I = 48.5
- 2θ 36.22, I = 24.4



No. 12
# CsSn6I12
Theoretical powder diffractogram, Cu Kα (weighted mean of Kα1 and Kα2). Input: a structure optimized by DFT (GGA-PBE).
Peak positions follow from Bragg's law for the DFT cell and can differ from measured ones.

Crystal structure
Cell: 10.3005 10.3005 10.3005 Å, 109.47 109.47 109.47°
Positions (direct):
1 Cs 0.0000 0.0000 0.0000
2 Sn 0.1362 0.5000 0.6362
3 Sn 0.3638 0.8638 0.5000
4 Sn 0.5000 0.3638 0.8638
5 Sn 0.5000 0.6362 0.1362
6 Sn 0.6362 0.1362 0.5000
7 Sn 0.8638 0.5000 0.3638
8 I 0.1527 0.3201 0.8326
9 I 0.1674 0.4876 0.3201
10 I 0.1674 0.8473 0.6799
11 I 0.3201 0.1674 0.4876
12 I 0.3201 0.8326 0.1527
13 I 0.4876 0.3201 0.1674
14 I 0.5124 0.6799 0.8326
15 I 0.6799 0.1674 0.8473
16 I 0.6799 0.8326 0.5124
17 I 0.8326 0.1527 0.3201
18 I 0.8326 0.5124 0.6799
19 I 0.8473 0.6799 0.1674

Largest 10 diffraction maxima, sorted by position, 10° ≤ 2θ ≤ 80°:
- 2θ 14.90, I = 18.0
- 2θ 23.65, I = 13.8
- 2θ 28.07, I = 100.0
- 2θ 31.92, I = 13.0
- 2θ 38.60, I = 42.6
- 2θ 45.77, I = 19.6
- 2θ 47.10, I = 16.6
- 2θ 61.38, I = 14.5
- 2θ 66.73, I = 14.0
- 2θ 67.78, I = 17.6